[1]
The following is a calculated powder diffractogram of TbCrTeO6. It was derived from the GGA+U geometry in the Materials Project, using Cu Kα, 1.54184 Å.

Most intense lines, 2θ = 10–90°, by intensity:
26.8 deg, intensity 100.0; 51.1 deg, intensity 38.1; 34.5 deg, intensity 34.4; 44.3 deg, intensity 24.5; 57.3 deg, intensity 23.4; 61.8 deg, intensity 12.4

Cell and atoms:
a = 5.197 Å, b = 5.197 Å, c = 9.849 Å
α = 90.00°, β = 90.00°, γ = 120.00°
Atoms (fractional coordinates):
Tb 0.000 0.000 0.000
Tb 0.000 0.000 0.500
Cr 0.333 0.667 0.250
Cr 0.667 0.333 0.750
Te 0.333 0.667 0.750
Te 0.667 0.333 0.250
O 0.010 0.366 0.860
O 0.010 0.644 0.640
O 0.356 0.366 0.640
O 0.356 0.990 0.860
O 0.366 0.010 0.360
O 0.366 0.356 0.140
O 0.634 0.644 0.860
O 0.634 0.990 0.640
O 0.644 0.010 0.140
O 0.644 0.634 0.360
O 0.990 0.356 0.360
O 0.990 0.634 0.140



[2]
The following is a calculated powder diffractogram of LiVSiO4. It was derived from the GGA+U geometry in the Materials Project, using Cu Kα, 1.54184 Å.

Most intense lines, 2θ = 10–90°, by intensity:
26.1 deg, intensity 100.0; 53.7 deg, intensity 51.1; 37.6 deg, intensity 44.1; 20.5 deg, intensity 42.8; 42.1 deg, intensity 24.9; 33.9 deg, intensity 22.4

Cell and atoms:
a = 9.467 Å, b = 5.550 Å, c = 4.862 Å
α = 90.00°, β = 90.00°, γ = 90.00°
Atoms (fractional coordinates):
Li 0.110 0.250 0.057
Li 0.390 0.750 0.557
Li 0.610 0.250 0.443
Li 0.890 0.750 0.943
V 0.224 0.750 0.021
V 0.276 0.250 0.521
V 0.724 0.750 0.479
V 0.776 0.250 0.979
Si 0.000 0.000 0.500
Si 0.000 0.500 0.500
Si 0.500 0.000 0.000
Si 0.500 0.500 0.000
O 0.067 0.750 0.725
O 0.074 0.250 0.688
O 0.160 0.504 0.303
O 0.160 0.996 0.303
O 0.340 0.004 0.803
O 0.340 0.496 0.803
O 0.426 0.750 0.188
O 0.433 0.250 0.225
O 0.567 0.750 0.775
O 0.574 0.250 0.812
O 0.660 0.504 0.197
O 0.660 0.996 0.197
O 0.840 0.004 0.697
O 0.840 0.496 0.697
O 0.926 0.750 0.312
O 0.933 0.250 0.275



[3]
The following is a calculated powder diffractogram of Li5Mn2P2C2O14. It was derived from the GGA+U geometry in the Materials Project, using Cu Kα, 1.54184 Å.

Most intense lines, 2θ = 10–90°, by intensity:
10.5 deg, intensity 100.0; 26.9 deg, intensity 95.9; 21.3 deg, intensity 43.2; 26.5 deg, intensity 35.2; 19.9 deg, intensity 29.3; 17.0 deg, intensity 27.5

Cell and atoms:
a = 5.026 Å, b = 6.632 Å, c = 8.462 Å
α = 90.00°, β = 94.50°, γ = 90.00°
Atoms (fractional coordinates):
Li 0.000 0.000 0.000
Li 0.482 0.224 0.831
Li 0.482 0.776 0.831
Li 0.988 0.277 0.360
Li 0.988 0.723 0.360
Mn 0.022 0.500 0.762
Mn 0.450 0.000 0.439
P 0.500 0.500 0.516
P 0.957 0.000 0.685
C 0.530 0.000 0.134
C 0.944 0.500 0.050
O 0.047 0.000 0.515
O 0.065 0.182 0.786
O 0.065 0.818 0.786
O 0.180 0.500 0.994
O 0.284 0.000 0.166
O 0.397 0.312 0.424
O 0.397 0.688 0.424
O 0.403 0.500 0.688
O 0.598 0.000 0.988
O 0.645 0.000 0.674
O 0.718 0.000 0.249
O 0.749 0.500 0.937
O 0.816 0.500 0.539
O 0.908 0.500 0.196



[4]
The following is a calculated powder diffractogram of Mn3CrO8. It was derived from the GGA+U geometry in the Materials Project, using Cu Kα, 1.54184 Å.

Most intense lines, 2θ = 10–90°, by intensity:
20.4 deg, intensity 100.0; 20.0 deg, intensity 63.9; 47.6 deg, intensity 54.9; 37.4 deg, intensity 48.8; 37.1 deg, intensity 43.4; 41.5 deg, intensity 41.5

Cell and atoms:
a = 5.768 Å, b = 5.768 Å, c = 8.900 Å
α = 90.00°, β = 90.00°, γ = 120.00°
Atoms (fractional coordinates):
Mn 0.168 0.336 0.000
Mn 0.168 0.832 0.000
Mn 0.336 0.168 0.500
Mn 0.664 0.832 0.000
Mn 0.832 0.168 0.500
Mn 0.832 0.664 0.500
Cr 0.333 0.667 0.280
Cr 0.667 0.333 0.780
O 0.000 0.000 0.106
O 0.000 0.000 0.606
O 0.041 0.521 0.128
O 0.168 0.336 0.390
O 0.168 0.832 0.390
O 0.333 0.667 0.889
O 0.336 0.168 0.890
O 0.479 0.521 0.128
O 0.479 0.959 0.128
O 0.521 0.041 0.628
O 0.521 0.479 0.628
O 0.664 0.832 0.390
O 0.667 0.333 0.389
O 0.832 0.168 0.890
O 0.832 0.664 0.890
O 0.959 0.479 0.628



[5]
The following is a calculated powder diffractogram of Na2MnTlF6. It was derived from the GGA+U geometry in the Materials Project, using Cu Kα, 1.54184 Å.

Most intense lines, 2θ = 10–90°, by intensity:
19.8 deg, intensity 100.0; 28.1 deg, intensity 98.1; 40.2 deg, intensity 43.0; 45.2 deg, intensity 41.3; 33.1 deg, intensity 39.1; 49.8 deg, intensity 38.3

Cell and atoms:
a = 6.343 Å, b = 6.343 Å, c = 6.343 Å
α = 60.00°, β = 60.00°, γ = 60.00°
Atoms (fractional coordinates):
Na 0.250 0.250 0.250
Na 0.750 0.750 0.750
Mn 0.000 0.000 0.000
Tl 0.500 0.500 0.500
F 0.218 0.218 0.782
F 0.218 0.782 0.218
F 0.218 0.782 0.782
F 0.782 0.218 0.218
F 0.782 0.218 0.782
F 0.782 0.782 0.218



[6]
The following is a calculated powder diffractogram of CaMo5O8. It was derived from the GGA+U geometry in the Materials Project, using Cu Kα, 1.54184 Å.

Most intense lines, 2θ = 10–90°, by intensity:
12.8 deg, intensity 100.0; 32.6 deg, intensity 64.9; 29.6 deg, intensity 51.2; 31.4 deg, intensity 39.5; 59.1 deg, intensity 30.7; 34.0 deg, intensity 30.2

Cell and atoms:
a = 8.458 Å, b = 9.491 Å, c = 10.743 Å
α = 90.00°, β = 108.82°, γ = 90.00°
Atoms (fractional coordinates):
Ca 0.177 0.018 0.463
Ca 0.177 0.482 0.963
Ca 0.823 0.518 0.037
Ca 0.823 0.982 0.537
Mo 0.092 0.134 0.803
Mo 0.092 0.366 0.303
Mo 0.107 0.647 0.486
Mo 0.107 0.853 0.986
Mo 0.293 0.638 0.280
Mo 0.293 0.862 0.780
Mo 0.295 0.125 0.121
Mo 0.295 0.375 0.621
Mo 0.491 0.152 0.907
Mo 0.491 0.348 0.407
Mo 0.509 0.652 0.593
Mo 0.509 0.848 0.093
Mo 0.705 0.625 0.379
Mo 0.705 0.875 0.879
Mo 0.707 0.138 0.220
Mo 0.707 0.362 0.720
Mo 0.893 0.147 0.014
Mo 0.893 0.353 0.514
Mo 0.908 0.634 0.697
Mo 0.908 0.866 0.197
O 0.082 0.003 0.135
O 0.082 0.497 0.635
O 0.102 0.246 0.983
O 0.102 0.254 0.483
O 0.104 0.507 0.153
O 0.104 0.993 0.653
O 0.125 0.721 0.833
O 0.125 0.779 0.333
O 0.295 0.231 0.294
O 0.295 0.269 0.794
O 0.313 0.731 0.109
O 0.313 0.769 0.609
O 0.491 0.235 0.076
O 0.491 0.265 0.576
O 0.493 0.006 0.780
O 0.493 0.494 0.280
O 0.507 0.506 0.720
O 0.507 0.994 0.220
O 0.509 0.735 0.424
O 0.509 0.765 0.924
O 0.687 0.231 0.391
O 0.687 0.269 0.891
O 0.705 0.731 0.206
O 0.705 0.769 0.706
O 0.875 0.221 0.667
O 0.875 0.279 0.167
O 0.896 0.007 0.347
O 0.896 0.493 0.847
O 0.898 0.746 0.517
O 0.898 0.754 0.017
O 0.918 0.503 0.365
O 0.918 0.997 0.865



[7]
The following is a calculated powder diffractogram of Li3V5O12. It was derived from the GGA+U geometry in the Materials Project, using Cu Kα, 1.54184 Å.

Most intense lines, 2θ = 10–90°, by intensity:
27.9 deg, intensity 100.0; 25.7 deg, intensity 61.9; 29.3 deg, intensity 53.8; 33.2 deg, intensity 42.1; 18.3 deg, intensity 31.8; 19.6 deg, intensity 30.2

Cell and atoms:
a = 6.903 Å, b = 6.903 Å, c = 5.786 Å
α = 105.81°, β = 105.81°, γ = 82.12°
Atoms (fractional coordinates):
Li 0.000 0.000 0.000
Li 0.505 0.495 0.500
Li 0.842 0.158 0.500
V 0.138 0.441 0.013
V 0.357 0.052 0.487
V 0.559 0.862 0.987
V 0.661 0.339 0.000
V 0.948 0.643 0.513
O 0.083 0.625 0.816
O 0.115 0.611 0.318
O 0.119 0.161 0.446
O 0.375 0.917 0.184
O 0.389 0.885 0.682
O 0.395 0.359 0.074
O 0.532 0.237 0.613
O 0.641 0.605 0.926
O 0.724 0.062 0.081
O 0.763 0.468 0.387
O 0.839 0.881 0.554
O 0.938 0.276 0.919



[8]
The following is a calculated powder diffractogram of Ca2MnIrO6. It was derived from the GGA+U geometry in the Materials Project, using Cu Kα, 1.54184 Å.

Most intense lines, 2θ = 10–90°, by intensity:
32.5 deg, intensity 100.0; 22.6 deg, intensity 50.3; 19.4 deg, intensity 37.8; 19.9 deg, intensity 36.1; 46.2 deg, intensity 26.8; 31.6 deg, intensity 25.3

Cell and atoms:
a = 5.454 Å, b = 5.666 Å, c = 9.460 Å
α = 90.00°, β = 125.01°, γ = 90.00°
Atoms (fractional coordinates):
Ca 0.235 0.060 0.250
Ca 0.235 0.440 0.750
Ca 0.765 0.560 0.250
Ca 0.765 0.940 0.750
Mn 0.500 0.000 0.000
Mn 0.500 0.500 0.500
Ir 0.000 0.000 0.500
Ir 0.000 0.500 0.000
O 0.134 0.209 0.947
O 0.134 0.291 0.447
O 0.242 0.692 0.949
O 0.242 0.808 0.449
O 0.343 0.034 0.743
O 0.343 0.466 0.243
O 0.657 0.534 0.757
O 0.657 0.966 0.257
O 0.758 0.192 0.551
O 0.758 0.308 0.051
O 0.866 0.709 0.553
O 0.866 0.791 0.053



[9]
The following is a calculated powder diffractogram of Li11V6O5F19. It was derived from the GGA+U geometry in the Materials Project, using Cu Kα, 1.54184 Å.

Most intense lines, 2θ = 10–90°, by intensity:
16.5 deg, intensity 100.0; 25.5 deg, intensity 73.3; 24.9 deg, intensity 71.3; 37.9 deg, intensity 31.5; 32.9 deg, intensity 21.2; 49.1 deg, intensity 20.4

Cell and atoms:
a = 5.147 Å, b = 5.453 Å, c = 16.307 Å
α = 80.39°, β = 89.71°, γ = 88.43°
Atoms (fractional coordinates):
Li 0.000 0.000 0.000
Li 0.000 0.324 0.317
Li 0.502 0.798 0.105
Li 0.504 0.856 0.332
Li 0.507 0.154 0.657
Li 0.511 0.488 0.777
Li 0.523 0.351 0.426
Li 0.970 0.851 0.427
Li 0.984 0.650 0.659
Li 0.993 0.006 0.777
Li 0.994 0.355 0.119
V 0.008 0.477 0.889
V 0.480 0.001 0.887
V 0.495 0.317 0.224
V 0.525 0.657 0.561
V 0.976 0.154 0.560
V 0.994 0.817 0.224
O 0.181 0.202 0.854
O 0.181 0.521 0.200
O 0.706 0.920 0.595
O 0.793 0.092 0.257
O 0.795 0.417 0.598
F 0.088 0.363 0.005
F 0.147 0.726 0.341
F 0.151 0.037 0.673
F 0.190 0.859 0.521
F 0.311 0.027 0.179
F 0.311 0.359 0.523
F 0.320 0.701 0.848
F 0.347 0.540 0.673
F 0.350 0.881 0.000
F 0.356 0.196 0.342
F 0.635 0.121 0.774
F 0.638 0.456 0.115
F 0.638 0.703 0.437
F 0.678 0.282 0.919
F 0.687 0.591 0.274
F 0.825 0.800 0.919
F 0.856 0.917 0.107
F 0.861 0.622 0.778
F 0.865 0.206 0.434



Question: What is the formula in the eighth record?
Answer: Ca2MnIrO6